Entry 1:
K2InOs3O12: simulated PXRD pattern (copper Kα), based on a DFT-relaxed cell (PBE, Alexandria).
Intensities are scaled so that the largest is 1000.

Most intense lines, 2θ = 10–80°, by angle:
2θ 14.72, I 561
2θ 14.82, I 738
2θ 28.59, I 1000
2θ 29.69, I 272
2θ 29.90, I 711
2θ 49.87, I 286

Structural model:
a = 7.352 Å, b = 7.352 Å, c = 7.352 Å
α = 59.65°, β = 59.65°, γ = 59.65°
Atoms (fractional coordinates):
K 0.129 0.129 0.129
K 0.871 0.871 0.871
In 0.500 0.500 0.500
Os 0.000 0.500 0.500
Os 0.500 0.000 0.500
Os 0.500 0.500 0.000
O 0.145 0.582 0.582
O 0.196 0.196 0.575
O 0.196 0.575 0.196
O 0.418 0.418 0.855
O 0.418 0.855 0.418
O 0.425 0.804 0.804
O 0.575 0.196 0.196
O 0.582 0.145 0.582
O 0.582 0.582 0.145
O 0.804 0.425 0.804
O 0.804 0.804 0.425
O 0.855 0.418 0.418

Entry 2:
Rb5Pu2O6: simulated PXRD pattern (copper Kα), based on a DFT-relaxed cell (PBE, Alexandria).
Intensities are scaled so that the largest is 1000.

Most intense lines, 2θ = 10–80°, by angle:
2θ 12.16, I 873
2θ 14.16, I 762
2θ 17.07, I 691
2θ 19.38, I 756
2θ 26.49, I 1000
2θ 29.36, I 790

Structural model:
a = 7.246 Å, b = 7.246 Å, c = 14.959 Å
α = 101.14°, β = 101.14°, γ = 65.21°
Atoms (fractional coordinates):
Rb 0.132 0.868 0.750
Rb 0.217 0.738 0.990
Rb 0.222 0.480 0.285
Rb 0.262 0.783 0.510
Rb 0.480 0.222 0.785
Rb 0.520 0.778 0.215
Rb 0.738 0.217 0.490
Rb 0.778 0.520 0.715
Rb 0.783 0.262 0.010
Rb 0.868 0.132 0.250
Pu 0.203 0.339 0.562
Pu 0.339 0.203 0.062
Pu 0.661 0.797 0.938
Pu 0.797 0.661 0.438
O 0.046 0.370 0.417
O 0.122 0.171 0.633
O 0.171 0.122 0.133
O 0.370 0.046 0.917
O 0.434 0.439 0.116
O 0.439 0.434 0.616
O 0.561 0.566 0.384
O 0.566 0.561 0.884
O 0.630 0.954 0.083
O 0.829 0.878 0.867
O 0.878 0.829 0.367
O 0.954 0.630 0.583

Entry 3:
Ru3Pt3Rh: simulated PXRD pattern (copper Kα), based on a DFT-relaxed cell (PBE, Alexandria).
Intensities are scaled so that the largest is 1000.

Most intense lines, 2θ = 10–80°, by angle:
2θ 37.59, I 268
2θ 40.55, I 265
2θ 42.91, I 1000
2θ 56.48, I 166
2θ 67.83, I 168
2θ 75.40, I 189

Structural model:
a = 7.311 Å, b = 7.311 Å, c = 4.449 Å
α = 90.00°, β = 90.00°, γ = 120.00°
Atoms (fractional coordinates):
Ru 0.048 0.231 0.250
Ru 0.183 0.952 0.250
Ru 0.231 0.183 0.750
Ru 0.769 0.817 0.250
Ru 0.817 0.048 0.750
Ru 0.952 0.769 0.750
Pt 0.093 0.465 0.750
Pt 0.372 0.907 0.750
Pt 0.465 0.372 0.250
Pt 0.535 0.628 0.750
Pt 0.628 0.093 0.250
Pt 0.907 0.535 0.250
Rh 0.333 0.667 0.250
Rh 0.667 0.333 0.750

Entry 4:
KCaZn: simulated PXRD pattern (copper Kα), based on a DFT-relaxed cell (PBE, Alexandria).
Intensities are scaled so that the largest is 1000.

Most intense lines, 2θ = 10–80°, by angle:
2θ 13.23, I 633
2θ 19.97, I 253
2θ 26.63, I 484
2θ 29.57, I 344
2θ 30.38, I 1000
2θ 35.94, I 667

Structural model:
a = 4.103 Å, b = 4.447 Å, c = 6.996 Å
α = 90.03°, β = 106.90°, γ = 90.02°
Atoms (fractional coordinates):
K 0.000 0.000 0.000
Ca 0.734 0.501 0.468
Zn 0.279 0.002 0.559

Entry 5:
CoPt3: simulated PXRD pattern (copper Kα), based on a DFT-relaxed cell (PBE, Alexandria).
Intensities are scaled so that the largest is 1000.

Most intense lines, 2θ = 10–80°, by angle:
2θ 29.88, I 90
2θ 40.21, I 1000
2θ 41.50, I 70
2θ 46.77, I 482
2θ 59.16, I 60
2θ 68.30, I 297

Structural model:
a = 9.111 Å, b = 9.111 Å, c = 9.111 Å
α = 17.34°, β = 17.34°, γ = 17.34°
Atoms (fractional coordinates):
Co 0.000 0.000 0.000
Pt 0.256 0.256 0.256
Pt 0.500 0.500 0.500
Pt 0.744 0.744 0.744

Entry 6:
Tl12Hg7Sb: simulated PXRD pattern (copper Kα), based on a DFT-relaxed cell (PBE, Alexandria).
Intensities are scaled so that the largest is 1000.

Most intense lines, 2θ = 10–80°, by angle:
2θ 28.74, I 131
2θ 31.17, I 225
2θ 31.38, I 253
2θ 31.52, I 1000
2θ 35.76, I 405
2θ 37.60, I 188

Structural model:
a = 9.202 Å, b = 9.202 Å, c = 9.202 Å
α = 109.21°, β = 109.21°, γ = 109.21°
Atoms (fractional coordinates):
Tl 0.051 0.704 0.157
Tl 0.148 0.413 0.618
Tl 0.157 0.051 0.704
Tl 0.296 0.843 0.949
Tl 0.382 0.852 0.587
Tl 0.413 0.618 0.148
Tl 0.587 0.382 0.852
Tl 0.618 0.148 0.413
Tl 0.704 0.157 0.051
Tl 0.843 0.949 0.296
Tl 0.852 0.587 0.382
Tl 0.949 0.296 0.843
Hg 0.000 0.000 0.000
Hg 0.117 0.410 0.265
Hg 0.265 0.117 0.410
Hg 0.410 0.265 0.117
Hg 0.590 0.735 0.883
Hg 0.735 0.883 0.590
Hg 0.883 0.590 0.735
Sb 0.500 0.500 0.500